[1]
This entry pairs a crystal structure of Tb4Tm3Zr with its computed X-ray diffraction stick pattern. Radiation: Cu Kα. Structure: the PBE geometry in Alexandria.
Lines closer than 0.1° are merged.

Largest 6 diffraction maxima, in order of rising 2θ, 5 to 70 degrees two-theta:
28.96 deg, intensity 24; 32.37 deg, intensity 36; 33.27 deg, intensity 100; 33.39 deg, intensity 49; 44.01 deg, intensity 23; 58.34 deg, intensity 30

Crystal structure
```
data_Tb4Tm3Zr
_chemical_formula_sum 'Tb8 Tm6 Zr2'
_cell_length_a 11.0627
_cell_length_b 7.1315
_cell_length_c 6.1382
_cell_angle_alpha 90.00
_cell_angle_beta 90.00
_cell_angle_gamma 90.00
_symmetry_space_group_name_H-M 'P 1'
_symmetry_Int_Tables_number 1
loop_
_symmetry_equiv_pos_as_xyz
'x,y,z'
loop_
_atom_site_label
_atom_site_fract_x
_atom_site_fract_y
_atom_site_fract_z
Tb1 0.0000 0.1301 0.0000
Tb2 0.0000 0.8670 0.4947
Tb3 0.2441 0.8691 0.8402
Tb4 0.2559 0.1309 0.3402
Tb5 0.5000 0.1330 0.9947
Tb6 0.5000 0.8699 0.5000
Tb7 0.7441 0.1309 0.3402
Tb8 0.7559 0.8691 0.8402
Tm1 0.0000 0.3850 0.5011
Tm2 0.2485 0.3806 0.8288
Tm3 0.2515 0.6194 0.3288
Tm4 0.5000 0.6150 0.0011
Tm5 0.7485 0.6194 0.3288
Tm6 0.7515 0.3806 0.8288
Zr1 0.0000 0.6205 0.0028
Zr2 0.5000 0.3795 0.5028
```

[2]
This entry pairs a crystal structure of Ac2Y8Er3 with its computed X-ray diffraction stick pattern. Radiation: Cu Kα. Structure: the PBE geometry in Alexandria.
Lines closer than 0.1° are merged.

Largest 6 diffraction maxima, in order of rising 2θ, 5 to 70 degrees two-theta:
29.70 deg, intensity 27; 30.10 deg, intensity 37; 30.35 deg, intensity 56; 31.22 deg, intensity 100; 32.90 deg, intensity 30; 37.19 deg, intensity 22

Crystal structure
```
data_Ac2Y8Er3
_chemical_formula_sum 'Ac2 Y8 Er3'
_cell_length_a 8.8595
_cell_length_b 8.8595
_cell_length_c 6.2435
_cell_angle_alpha 107.70
_cell_angle_beta 107.70
_cell_angle_gamma 83.33
_symmetry_space_group_name_H-M 'P 1'
_symmetry_Int_Tables_number 1
loop_
_symmetry_equiv_pos_as_xyz
'x,y,z'
loop_
_atom_site_label
_atom_site_fract_x
_atom_site_fract_y
_atom_site_fract_z
Ac1 0.2003 0.2003 0.3532
Ac2 0.7997 0.7997 0.6468
Y1 0.0717 0.0717 0.7739
Y2 0.0859 0.5872 0.3305
Y3 0.3516 0.3516 0.9553
Y4 0.4128 0.9141 0.6695
Y5 0.5872 0.0859 0.3305
Y6 0.6484 0.6484 0.0447
Y7 0.9141 0.4128 0.6695
Y8 0.9283 0.9283 0.2261
Er1 0.2492 0.7508 0.0000
Er2 0.5000 0.5000 0.5000
Er3 0.7508 0.2492 0.0000
```

[3]
This entry pairs a crystal structure of U3S3F2 with its computed X-ray diffraction stick pattern. Radiation: Cu Kα. Structure: the PBE geometry in Alexandria.
Lines closer than 0.1° are merged.

Largest 6 diffraction maxima, in order of rising 2θ, 5 to 70 degrees two-theta:
25.41 deg, intensity 40; 25.73 deg, intensity 100; 26.47 deg, intensity 56; 33.56 deg, intensity 35; 34.75 deg, intensity 48; 38.13 deg, intensity 78

Crystal structure
```
data_U3S3F2
_chemical_formula_sum 'U3 S3 F2'
_cell_length_a 10.4533
_cell_length_b 10.4533
_cell_length_c 10.4533
_cell_angle_alpha 160.40
_cell_angle_beta 157.73
_cell_angle_gamma 29.84
_symmetry_space_group_name_H-M 'P 1'
_symmetry_Int_Tables_number 1
loop_
_symmetry_equiv_pos_as_xyz
'x,y,z'
loop_
_atom_site_label
_atom_site_fract_x
_atom_site_fract_y
_atom_site_fract_z
U1 0.0000 0.0000 0.0000
U2 0.3362 0.8362 0.5000
U3 0.6637 0.1638 0.5000
S1 0.1195 0.6195 0.5000
S2 0.5000 0.5000 0.0000
S3 0.8805 0.3805 0.5000
F1 0.2477 0.2477 0.0000
F2 0.7523 0.7523 0.0000
```